Diffraction record for In3Ir. The X-ray diffraction stick pattern is theoretical, not measured: it uses a cell relaxed with PBE and Cu Kα (weighted mean of Kα1 and Kα2).
Peak positions follow from Bragg's law for the DFT cell and can differ from measured ones.

Atomic structure:
Cell: 7.117 7.117 7.322 Å, 90.00 90.00 90.00°
Atoms (fractional coordinates):
In  0.000  0.500  0.000
In  0.000  0.500  0.500
In  0.152  0.152  0.244
In  0.152  0.152  0.756
In  0.348  0.652  0.256
In  0.348  0.652  0.744
In  0.500  0.000  0.000
In  0.500  0.000  0.500
In  0.652  0.348  0.256
In  0.652  0.348  0.744
In  0.848  0.848  0.244
In  0.848  0.848  0.756
Ir  0.155  0.845  0.000
Ir  0.345  0.345  0.500
Ir  0.655  0.655  0.500
Ir  0.845  0.155  0.000

Peak list (6 most intense, 2θ = 15–90°, sorted by position)
- 17.38 deg, d 5.103, rel. 38.9
- 21.43 deg, d 4.147, rel. 29.8
- 37.44 deg, d 2.402, rel. 100.0
- 40.06 deg, d 2.251, rel. 48.1
- 65.76 deg, d 1.420, rel. 21.5
- 76.66 deg, d 1.243, rel. 17.8

Diffraction record for SrNdTiNbO6. The X-ray diffraction stick pattern is theoretical, not measured: it uses a cell relaxed with PBE and Cu Kα (weighted mean of Kα1 and Kα2).
Peak positions follow from Bragg's law for the DFT cell and can differ from measured ones.

Atomic structure:
Cell: 5.674 5.674 5.674 Å, 60.00 60.00 60.00°
Atoms (fractional coordinates):
Sr  0.000  0.000  0.000
Nd  0.500  0.500  0.500
Ti  0.250  0.250  0.250
Nb  0.750  0.750  0.750
O  0.004  0.004  0.496
O  0.004  0.496  0.004
O  0.004  0.496  0.496
O  0.496  0.004  0.004
O  0.496  0.004  0.496
O  0.496  0.496  0.004

Peak list (6 most intense, 2θ = 15–90°, sorted by position)
- 31.54 deg, d 2.837, rel. 100.0
- 38.88 deg, d 2.316, rel. 11.3
- 45.20 deg, d 2.006, rel. 33.9
- 56.16 deg, d 1.638, rel. 38.9
- 65.84 deg, d 1.418, rel. 20.2
- 74.84 deg, d 1.269, rel. 16.7

Diffraction record for RbMg6TiO8. The X-ray diffraction stick pattern is theoretical, not measured: it uses a cell relaxed with PBE and Cu Kα (weighted mean of Kα1 and Kα2).
Peak positions follow from Bragg's law for the DFT cell and can differ from measured ones.

Atomic structure:
Cell: 4.610 4.610 8.658 Å, 90.00 90.00 90.00°
Atoms (fractional coordinates):
Rb  0.000  0.000  0.000
Mg  0.000  0.500  0.245
Mg  0.000  0.500  0.755
Mg  0.500  0.000  0.245
Mg  0.500  0.000  0.755
Mg  0.500  0.500  0.000
Mg  0.500  0.500  0.500
Ti  0.000  0.000  0.500
O  0.000  0.000  0.284
O  0.000  0.000  0.716
O  0.000  0.500  0.000
O  0.000  0.500  0.500
O  0.500  0.000  0.000
O  0.500  0.000  0.500
O  0.500  0.500  0.254
O  0.500  0.500  0.746

Peak list (6 most intense, 2θ = 15–90°, sorted by position)
- 34.44 deg, d 2.604, rel. 40.6
- 39.07 deg, d 2.305, rel. 100.0
- 41.74 deg, d 2.164, rel. 43.0
- 56.45 deg, d 1.630, rel. 29.9
- 58.49 deg, d 1.578, rel. 50.2
- 72.61 deg, d 1.302, rel. 25.9

Diffraction record for ErAl3C3. The X-ray diffraction stick pattern is theoretical, not measured: it uses a cell relaxed with PBE and Cu Kα (weighted mean of Kα1 and Kα2).
Peak positions follow from Bragg's law for the DFT cell and can differ from measured ones.

Atomic structure:
Cell: 3.419 3.419 17.273 Å, 90.00 90.00 120.00°
Atoms (fractional coordinates):
Er  0.000  0.000  0.000
Er  0.000  0.000  0.500
Al  0.333  0.667  0.133
Al  0.333  0.667  0.367
Al  0.333  0.667  0.750
Al  0.667  0.333  0.250
Al  0.667  0.333  0.633
Al  0.667  0.333  0.867
C  0.333  0.667  0.250
C  0.333  0.667  0.591
C  0.333  0.667  0.909
C  0.667  0.333  0.091
C  0.667  0.333  0.409
C  0.667  0.333  0.750

Peak list (6 most intense, 2θ = 15–90°, sorted by position)
- 20.57 deg, d 4.318, rel. 26.6
- 30.18 deg, d 2.961, rel. 19.9
- 31.95 deg, d 2.801, rel. 100.0
- 36.80 deg, d 2.442, rel. 66.5
- 43.86 deg, d 2.064, rel. 42.9
- 53.61 deg, d 1.710, rel. 25.6